# SrY2Rh9
Simulated XRD peak list, Cu Ka. Input: a PBE-relaxed structure.

```
SrY2Rh9
1.0
2.6632 1.5376 8.7347
-2.6632 1.5376 8.7347
0.0000 -3.0752 8.7347
Sr Y Rh
1 2 9
direct
0.0000 0.0000 0.0000
0.1388 0.1388 0.1388
0.8612 0.8612 0.8612
0.0830 0.5835 0.5835
0.3328 0.3328 0.3328
0.4165 0.4165 0.9170
0.4165 0.9170 0.4165
0.5000 0.5000 0.5000
0.5835 0.0830 0.5835
0.5835 0.5835 0.0830
0.6672 0.6672 0.6672
0.9170 0.4165 0.4165
```

Principal peaks in the range 5 to 70 degrees two-theta, in order of rising 2θ:
2theta, I/Imax
33.6, 39
39.2, 30
39.6, 100
41.3, 26
42.8, 43
64.2, 23